For CrAg4F6, a crystal structure in Alexandria, relaxed with PBE+U gives the simulated powder diffractogram in this record (a wavelength of 1.5418 Å).
No peak broadening, texture or thermal motion is included.

Principal peaks in the range 2θ = 5–70°, by angle:
- 2θ = 17.6°, intensity 16, (1 0 1)
- 2θ = 24.5°, intensity 34, (0 0 2)
- 2θ = 28.6°, intensity 66, (2 1 0)
- 2θ = 30.6°, intensity 22, (1 1 2)
- 2θ = 38.0°, intensity 100, (2 1 2)
- 2θ = 40.9°, intensity 34, (3 1 0)
- 2θ = 48.2°, intensity 18, (3 1 2)
- 2θ = 50.2°, intensity 14, (0 0 4)
- 2θ = 58.7°, intensity 16, (4 0 2)
- 2θ = 58.8°, intensity 17, (2 1 4)
- 2θ = 61.9°, intensity 11, (3 3 2)
- 2θ = 66.7°, intensity 14, (3 1 4)

a b c (Å): 6.978 6.978 7.267
angles (deg): 90.00 90.00 90.00
Positions (direct):
Cr (0.000, 0.000, 0.000)
Cr (0.500, 0.500, 0.500)
Ag (0.142, 0.358, 0.250)
Ag (0.142, 0.358, 0.750)
Ag (0.358, 0.858, 0.250)
Ag (0.358, 0.858, 0.750)
Ag (0.642, 0.142, 0.250)
Ag (0.642, 0.142, 0.750)
Ag (0.858, 0.642, 0.250)
Ag (0.858, 0.642, 0.750)
F (0.000, 0.000, 0.267)
F (0.000, 0.000, 0.733)
F (0.113, 0.741, 0.000)
F (0.241, 0.613, 0.500)
F (0.259, 0.113, 0.000)
F (0.387, 0.241, 0.500)
F (0.500, 0.500, 0.233)
F (0.500, 0.500, 0.767)
F (0.613, 0.759, 0.500)
F (0.741, 0.887, 0.000)
F (0.759, 0.387, 0.500)
F (0.887, 0.259, 0.000)